Computed PXRD pattern of Pm3HRu for Cu Ka, from a cell relaxed with PBE.

```
Pm3HRu
1.0
7.3283 0.0000 0.0000
0.0000 3.8317 0.0000
-2.5603 0.0000 8.3951
Pm H Ru
6 2 2
Cartesian
-0.0603 0.0000 2.7529
1.9752 0.0000 0.0712
1.0709 1.9158 5.7486
3.6972 1.9158 2.6464
2.7929 0.0000 8.3238
4.8284 0.0000 5.6422
-1.2801 1.9158 4.1975
3.6642 1.9158 0.0000
0.0000 1.9158 0.0000
2.3840 0.0000 4.1975
```

Largest 8 diffraction maxima, in order of rising 2θ, 10° ≤ 2θ ≤ 80°:
- 28.00 deg, I 33
- 29.98 deg, I 55
- 30.37 deg, I 55
- 31.67 deg, I 100
- 31.98 deg, I 49
- 34.01 deg, I 31
- 43.96 deg, I 27
- 47.46 deg, I 26

---

Computed PXRD pattern of Ce5Tl5Os for Cu Ka, from a cell relaxed with PBE.

```
Ce5Tl5Os
1.0
-2.7502 3.4414 8.4300
2.7502 -3.4414 8.4300
2.7502 3.4414 -8.4300
Ce Tl Os
5 5 1
Cartesian
0.0000 0.0000 0.0000
2.7502 1.4306 -2.5001
2.7502 1.4306 2.5001
0.0000 2.0108 5.9300
0.0000 2.0108 10.9301
0.0000 0.0000 3.3624
2.7502 0.0000 6.0774
0.0000 0.0000 8.4300
0.0000 3.4414 2.3526
0.0000 0.0000 13.4976
2.7502 0.0000 0.0000
```

Largest 8 diffraction maxima, in order of rising 2θ, 10° ≤ 2θ ≤ 80°:
- 25.89 deg, I 20
- 29.50 deg, I 17
- 29.69 deg, I 46
- 31.85 deg, I 28
- 32.56 deg, I 55
- 34.64 deg, I 100
- 46.19 deg, I 20
- 59.44 deg, I 21

---

Computed PXRD pattern of Rb2ScCd2Te4 for Cu Ka, from a cell relaxed with PBE.

```
Rb2ScCd2Te4
1.0
8.6924 -2.2186 0.0000
8.6924 2.2186 0.0000
-3.5160 0.0000 8.1918
Rb Sc Cd Te
2 1 2 4
Cartesian
1.9693 0.0000 0.5971
11.8995 0.0000 7.5947
-1.7580 0.0000 4.0959
3.6884 0.0000 4.1012
10.1804 0.0000 4.0907
0.6710 0.0000 5.8113
5.8972 0.0000 5.9010
7.9717 0.0000 2.2908
13.1979 0.0000 2.3805
```

Largest 8 diffraction maxima, in order of rising 2θ, 10° ≤ 2θ ≤ 80°:
- 10.80 deg, I 58
- 24.48 deg, I 43
- 26.14 deg, I 34
- 28.50 deg, I 70
- 29.56 deg, I 100
- 30.89 deg, I 32
- 40.67 deg, I 39
- 42.18 deg, I 34